The following is a simulated X-ray diffraction stick pattern of NaTiGa. It was derived from a DFT-relaxed cell (PBE, Alexandria), using Cu Kα (λ = 1.5418 Å).

Largest 10 diffraction maxima, sorted by position, 5° ≤ 2θ ≤ 70°:
- hkl 0 0 1, d = 10.456 Å, 8.46 deg, intensity 100
- hkl 0 0 4, d = 2.614 Å, 34.30 deg, intensity 9
- hkl 1 1 -2, d = 2.450 Å, 36.68 deg, intensity 22
- hkl 1 1 2, d = 2.222 Å, 40.61 deg, intensity 12
- hkl 1 1 -3, d = 2.215 Å, 40.73 deg, intensity 12
- hkl 0 0 5, d = 2.091 Å, 43.26 deg, intensity 3
- hkl 0 2 0, d = 2.044 Å, 44.33 deg, intensity 6
- hkl 0 2 1, d = 2.006 Å, 45.21 deg, intensity 3
- hkl 2 0 -1, d = 1.703 Å, 53.82 deg, intensity 3
- hkl 0 2 4, d = 1.610 Å, 57.22 deg, intensity 4

Cell and atoms:
Unit cell a=3.4069 b=4.0870 c=10.5871 alpha=90.00 beta=99.02 gamma=90.00
Positions (direct):
Na 0.0000 0.0000 0.0000
Na 0.3753 0.5000 0.7332
Ti 0.2313 0.0000 0.4776
Ti 0.6339 0.0000 0.2752
Ga 0.1275 0.5000 0.2623
Ga 0.7297 0.5000 0.4729

---

The following is a simulated X-ray diffraction stick pattern of Na5Tl2Ga. It was derived from a DFT-relaxed cell (PBE, Alexandria), using Cu Kα (λ = 1.5418 Å).

Largest 10 diffraction maxima, sorted by position, 5° ≤ 2θ ≤ 70°:
- hkl 1 1 0, d = 6.434 Å, 13.76 deg, intensity 18
- hkl 1 2 0, d = 5.039 Å, 17.60 deg, intensity 100
- hkl 0 0 1, d = 4.398 Å, 20.19 deg, intensity 29
- hkl 1 2 1, d = 3.313 Å, 26.91 deg, intensity 74
- hkl 2 0 1, d = 2.795 Å, 32.02 deg, intensity 66
- hkl 0 4 1, d = 2.743 Å, 32.65 deg, intensity 71
- hkl 2 4 0, d = 2.519 Å, 35.64 deg, intensity 47
- hkl 0 0 2, d = 2.199 Å, 41.04 deg, intensity 19
- hkl 1 2 2, d = 2.016 Å, 44.98 deg, intensity 19
- hkl 2 4 2, d = 1.657 Å, 55.46 deg, intensity 26

Cell and atoms:
Unit cell a=7.2403 b=14.0337 c=4.3982 alpha=90.00 beta=90.00 gamma=90.00
Positions (direct):
Na 0.0000 0.0000 0.0000
Na 0.0164 0.2528 0.0000
Na 0.2443 0.3814 0.5000
Na 0.2557 0.8814 0.5000
Na 0.4836 0.7528 0.0000
Na 0.5000 0.5000 0.0000
Na 0.5164 0.2472 0.0000
Na 0.7443 0.1186 0.5000
Na 0.7557 0.6186 0.5000
Na 0.9836 0.7472 0.0000
Tl 0.2189 0.6146 0.5000
Tl 0.2811 0.1146 0.5000
Tl 0.7189 0.8854 0.5000
Tl 0.7811 0.3854 0.5000
Ga 0.0000 0.5000 0.0000
Ga 0.5000 0.0000 0.0000